No. 1
The following is a simulated PXRD pattern of SmMg3Ga. It was derived from the GGA-PBE geometry in Alexandria, using Cu Kα.

Atomic structure:
Lattice parameters (Å, degrees): 4.712 4.774 11.190 90.00 90.00 90.00
Space group Amm2 (No. 38)
Asymmetric unit:
Sm 0.000 0.000 0.000 x2
Mg 0.000 0.000 0.706 x2
Mg 0.500 0.000 0.210 x2
Mg 0.500 0.000 0.502 x2
Ga 0.000 0.000 0.339 x2

Most intense lines, 2θ from 15° to 90°, by intensity:
| index | Position (°2θ) | I_rel |
| --- | --- | --- |
| 1 1 3 | 36.0 | 100 |
| 1 0 0 | 18.8 | 59 |
| 0 1 3 | 30.4 | 37 |
| 1 1 1 | 27.8 | 36 |
| 0 1 1 | 20.2 | 28 |
| 0 0 2 | 15.8 | 25 |
| 0 2 0 | 37.7 | 24 |
| 2 0 0 | 38.2 | 23 |
| 1 0 2 | 24.7 | 20 |
| 2 1 3 | 49.6 | 19 |

No. 2
The following is a simulated PXRD pattern of Sm2Mg3Ga2. It was derived from the GGA-PBE geometry in Alexandria, using Cu Kα.

Atomic structure:
Lattice parameters (Å, degrees): 10.935 4.442 7.078 90.00 95.61 90.00
Space group C2/m (No. 12)
Asymmetric unit:
Sm 0.127 0.000 0.346 x4
Mg 0.000 0.500 0.000 x2
Mg 0.177 0.000 0.855 x4
Ga 0.089 0.500 0.632 x4

Most intense lines, 2θ from 15° to 90°, by intensity:
| index | Position (°2θ) | I_rel |
| --- | --- | --- |
| 1 1 -2 | 32.9 | 100 |
| 1 1 1 | 25.5 | 46 |
| 3 1 -1 | 33.4 | 45 |
| 3 1 2 | 42.7 | 39 |
| 3 1 0 | 31.9 | 35 |
| 0 2 0 | 40.6 | 31 |
| 1 1 2 | 34.1 | 26 |
| 2 0 1 | 21.6 | 20 |
| 0 0 3 | 38.3 | 20 |
| 1 1 -1 | 24.7 | 19 |

No. 3
The following is a simulated PXRD pattern of Sm4MgGa2. It was derived from the GGA-PBE geometry in Alexandria, using Cu Kα.

Atomic structure:
Lattice parameters (Å, degrees): 5.1657 5.1657 24.7817 90.00 90.00 120.00
Space group R-3m (No. 166, hexagonal axes)
Asymmetric unit:
Sm 0.0000 0.0000 0.1140 x6
Sm 0.0000 0.0000 0.3671 x6
Mg 0.0000 0.0000 0.5000 x3
Ga 0.0000 0.0000 0.2427 x6

Most intense lines, 2θ from 15° to 90°, by intensity:
| index | Position (°2θ) | I_rel |
| --- | --- | --- |
| 1 1 0 | 34.7 | 100 |
| 0 1 8 | 35.2 | 78 |
| 1 0 4 | 24.5 | 69 |
| 1 2 8 | 62.6 | 29 |
| 2 0 8 | 50.3 | 28 |
| 3 0 0 | 62.3 | 18 |
| 0 2 4 | 43.0 | 16 |
| 2 1 4 | 56.4 | 14 |
| 1 0 7 | 32.2 | 13 |
| 3 1 8 | 84.0 | 13 |

No. 4
The following is a simulated PXRD pattern of SmMgGaSn. It was derived from the GGA-PBE geometry in Alexandria, using Cu Kα.

Atomic structure:
Lattice parameters (Å, degrees): 4.382 4.585 4.669 90.00 90.00 90.00
Space group Pmmm (No. 47)
Asymmetric unit:
Sm 0.000 0.000 0.000 x1
Mg 0.000 0.500 0.500 x1
Ga 0.500 0.500 0.000 x1
Sn 0.500 0.000 0.500 x1

Most intense lines, 2θ from 15° to 90°, by intensity:
| index | Position (°2θ) | I_rel |
| --- | --- | --- |
| 1 1 1 | 34.2 | 100 |
| 0 1 0 | 19.4 | 22 |
| 0 0 2 | 38.6 | 18 |
| 1 0 1 | 27.9 | 18 |
| 0 2 0 | 39.3 | 17 |
| 2 0 0 | 41.2 | 15 |
| 1 1 3 | 67.0 | 14 |
| 1 3 1 | 68.0 | 14 |
| 3 1 1 | 70.6 | 12 |
| 0 2 2 | 56.2 | 12 |